Starting from the PBE geometry in OQMD, the powder XRD pattern of Ho3Mg3CdAgIr was calculated for Cu Kα (weighted mean of Kα1 and Kα2).
Kinematic intensities with the Lorentz-polarization factor, no thermal factor.

Main lines, low angle first (2θ from 10° to 90°):
d_spacing	2θ/deg	I/Imax
6.793	13.03	42
3.921	22.68	41
2.771	32.31	69
2.566	34.97	100
2.264	39.81	28
2.147	42.09	39
1.959	46.36	26
1.697	54.02	20
1.481	62.72	25
1.448	64.34	23

Cell and atoms:
Lattice parameters (Å, degrees): 7.843 7.843 3.915 90.00 90.00 120.00
Fractional positions:
Ho1 0.098 0.373 0.000
Ho2 0.275 0.902 0.000
Ho3 0.627 0.725 0.000
Mg1 0.412 0.332 0.500
Mg2 0.668 0.080 0.500
Mg3 0.920 0.588 0.500
Cd1 0.000 0.000 0.500
Ag1 0.667 0.333 0.000
Ir1 0.333 0.667 0.500

Starting from the PBE geometry in OQMD, the powder XRD pattern of HoTmZnNi2 was calculated for Cu Kα (weighted mean of Kα1 and Kα2).
Kinematic intensities with the Lorentz-polarization factor, no thermal factor.

Main lines, low angle first (2θ from 10° to 90°):
d_spacing	2θ/deg	I/Imax
3.314	26.90	44
2.547	35.24	100
2.377	37.85	29
2.247	40.14	25
2.219	40.65	28
2.173	41.55	40
2.112	42.83	31
1.579	58.47	16
1.530	60.52	17
1.301	72.66	24

Cell and atoms:
Lattice parameters (Å, degrees): 5.239 5.239 5.239 132.46 118.62 81.14
Fractional positions:
Ho1 0.000 0.000 0.000
Tm1 0.408 0.408 0.000
Zn1 0.704 0.204 0.500
Ni1 0.433 0.704 0.729
Ni2 0.975 0.704 0.271

Starting from the PBE geometry in OQMD, the powder XRD pattern of Al5Co2 was calculated for Cu Kα (weighted mean of Kα1 and Kα2).
Kinematic intensities with the Lorentz-polarization factor, no thermal factor.

Main lines, low angle first (2θ from 10° to 90°):
d_spacing	2θ/deg	I/Imax
6.639	13.34	30
3.791	23.47	38
3.041	29.37	69
2.124	42.56	77
2.092	43.24	100
2.011	45.09	95
1.916	47.44	48
1.895	48.00	21
1.253	75.93	21
1.251	76.10	20

Cell and atoms:
Lattice parameters (Å, degrees): 7.666 7.666 7.581 90.00 90.00 120.00
Fractional positions:
Al1 0.000 0.000 0.000
Al2 0.000 0.000 0.500
Al3 0.065 0.533 0.250
Al4 0.194 0.388 0.560
Al5 0.194 0.388 0.940
Al6 0.194 0.806 0.560
Al7 0.194 0.806 0.940
Al8 0.388 0.194 0.060
Al9 0.388 0.194 0.440
Al10 0.467 0.533 0.250
Al11 0.467 0.935 0.250
Al12 0.533 0.065 0.750
Al13 0.533 0.467 0.750
Al14 0.612 0.806 0.560
Al15 0.612 0.806 0.940
Al16 0.806 0.194 0.060
Al17 0.806 0.194 0.440
Al18 0.806 0.612 0.060
Al19 0.806 0.612 0.440
Al20 0.935 0.467 0.750
Co1 0.127 0.255 0.250
Co2 0.127 0.873 0.250
Co3 0.255 0.127 0.750
Co4 0.333 0.667 0.750
Co5 0.667 0.333 0.250
Co6 0.745 0.873 0.250
Co7 0.873 0.127 0.750
Co8 0.873 0.745 0.750

Starting from the PBE geometry in OQMD, the powder XRD pattern of Cu7Ag3 was calculated for Cu Kα (weighted mean of Kα1 and Kα2).
Kinematic intensities with the Lorentz-polarization factor, no thermal factor.

Main lines, low angle first (2θ from 10° to 90°):
d_spacing	2θ/deg	I/Imax
2.199	41.05	50
2.189	41.24	47
2.172	41.58	100
1.977	45.89	72
1.746	52.39	23
1.387	67.54	11
1.311	72.04	16
1.307	72.29	14
1.173	82.17	12
1.172	82.30	11

Cell and atoms:
Lattice parameters (Å, degrees): 5.594 5.594 9.166 97.34 97.34 28.71
Fractional positions:
Cu1 0.000 0.000 0.000
Cu2 0.197 0.197 0.612
Cu3 0.383 0.383 0.177
Cu4 0.508 0.508 0.529
Cu5 0.584 0.584 0.802
Cu6 0.687 0.687 0.100
Cu7 0.898 0.898 0.698
Ag1 0.079 0.079 0.304
Ag2 0.292 0.292 0.897
Ag3 0.807 0.807 0.403

Starting from the PBE geometry in OQMD, the powder XRD pattern of ErAlZnNi was calculated for Cu Kα (weighted mean of Kα1 and Kα2).
Kinematic intensities with the Lorentz-polarization factor, no thermal factor.

Main lines, low angle first (2θ from 10° to 90°):
d_spacing	2θ/deg	I/Imax
3.742	23.78	33
3.521	25.30	33
2.564	34.99	100
2.359	38.15	88
2.256	39.96	41
2.035	44.53	31
1.761	51.92	20
1.712	53.52	21
1.511	61.36	23
1.228	77.79	23

Cell and atoms:
Lattice parameters (Å, degrees): 5.179 5.179 7.042 90.00 90.00 133.74
Fractional positions:
Er1 0.063 0.937 0.500
Er2 0.937 0.063 0.000
Al1 0.346 0.654 0.698
Al2 0.654 0.346 0.198
Zn1 0.356 0.644 0.309
Zn2 0.644 0.356 0.809
Ni1 0.220 0.780 0.008
Ni2 0.780 0.220 0.508

Starting from the PBE geometry in OQMD, the powder XRD pattern of CsRb3Cd2Ge2 was calculated for Cu Kα (weighted mean of Kα1 and Kα2).
Kinematic intensities with the Lorentz-polarization factor, no thermal factor.

Main lines, low angle first (2θ from 10° to 90°):
d_spacing	2θ/deg	I/Imax
6.763	13.09	25
3.573	24.92	57
3.434	25.94	76
3.058	29.20	100
3.009	29.69	62
2.628	34.12	35
2.383	37.75	27
1.879	48.45	29
1.874	48.58	32
1.868	48.76	25

Cell and atoms:
Lattice parameters (Å, degrees): 7.027 6.719 7.060 90.00 106.42 90.00
Fractional positions:
Cs1 0.000 0.000 0.000
Rb1 0.288 0.500 0.287
Rb2 0.656 0.000 0.338
Rb3 0.941 0.500 0.624
Cd1 0.468 0.250 0.811
Cd2 0.468 0.750 0.811
Ge1 0.235 0.000 0.560
Ge2 0.711 0.500 0.053

Starting from the PBE geometry in OQMD, the powder XRD pattern of Ta4Ni2C was calculated for Cu Kα (weighted mean of Kα1 and Kα2).
Kinematic intensities with the Lorentz-polarization factor, no thermal factor.

Main lines, low angle first (2θ from 10° to 90°):
d_spacing	2θ/deg	I/Imax
3.375	26.41	7
2.682	33.40	47
2.387	37.69	49
2.250	40.07	100
2.067	43.80	28
1.763	51.87	10
1.428	65.32	14
1.378	68.04	43
1.350	69.64	15
1.175	81.99	20

Cell and atoms:
Lattice parameters (Å, degrees): 8.268 8.268 8.268 60.00 60.00 60.00
Fractional positions:
Ta1 0.000 0.000 0.000
Ta2 0.000 0.000 0.500
Ta3 0.000 0.500 0.000
Ta4 0.191 0.191 0.559
Ta5 0.191 0.559 0.191
Ta6 0.191 0.559 0.559
Ta7 0.441 0.441 0.809
Ta8 0.441 0.809 0.441
Ta9 0.441 0.809 0.809
Ta10 0.500 0.000 0.000
Ta11 0.559 0.191 0.191
Ta12 0.559 0.191 0.559
Ta13 0.559 0.559 0.191
Ta14 0.809 0.441 0.441
Ta15 0.809 0.441 0.809
Ta16 0.809 0.809 0.441
Ni1 0.117 0.794 0.794
Ni2 0.206 0.206 0.206
Ni3 0.206 0.206 0.883
Ni4 0.206 0.883 0.206
Ni5 0.794 0.117 0.794
Ni6 0.794 0.794 0.117
Ni7 0.794 0.794 0.794
Ni8 0.883 0.206 0.206
C1 0.000 0.500 0.500
C2 0.500 0.000 0.500
C3 0.500 0.500 0.000
C4 0.500 0.500 0.500

Starting from the PBE geometry in OQMD, the powder XRD pattern of Sm2YCo2B2P3 was calculated for Cu Kα (weighted mean of Kα1 and Kα2).
Kinematic intensities with the Lorentz-polarization factor, no thermal factor.

Main lines, low angle first (2θ from 10° to 90°):
d_spacing	2θ/deg	I/Imax
3.452	25.81	100
2.767	32.36	58
2.749	32.57	59
2.471	36.35	68
2.450	36.68	25
2.208	40.86	65
1.956	46.41	57
1.702	53.86	28
1.594	57.85	43
1.366	68.71	26

Cell and atoms:
Lattice parameters (Å, degrees): 11.339 11.339 11.339 160.13 160.13 28.25
Fractional positions:
Sm1 0.139 0.139 0.000
Sm2 0.861 0.861 0.000
Y1 0.500 0.500 0.000
Co1 0.250 0.750 0.500
Co2 0.750 0.250 0.500
B1 0.285 0.285 0.000
B2 0.715 0.715 0.000
P1 0.000 0.000 0.000
P2 0.375 0.375 0.000
P3 0.625 0.625 0.000

Starting from the PBE geometry in OQMD, the powder XRD pattern of LaPrSe2F2 was calculated for Cu Kα (weighted mean of Kα1 and Kα2).
Kinematic intensities with the Lorentz-polarization factor, no thermal factor.

Main lines, low angle first (2θ from 10° to 90°):
d_spacing	2θ/deg	I/Imax
3.599	24.74	37
3.536	25.18	47
2.871	31.15	100
2.693	33.27	72
2.244	40.18	70
2.066	43.83	44
2.030	44.64	53
1.768	51.70	20
1.621	56.79	31
1.448	64.35	28

Cell and atoms:
Lattice parameters (Å, degrees): 4.060 4.060 7.198 90.00 90.00 90.00
Fractional positions:
La1 0.000 0.000 0.000
Pr1 0.500 0.500 0.562
Se1 0.000 0.000 0.427
Se2 0.500 0.500 0.140
F1 0.000 0.500 0.780
F2 0.500 0.000 0.780

Starting from the PBE geometry in OQMD, the powder XRD pattern of Nb4InSN2 was calculated for Cu Kα (weighted mean of Kα1 and Kα2).
Kinematic intensities with the Lorentz-polarization factor, no thermal factor.

Main lines, low angle first (2θ from 10° to 90°):
d_spacing	2θ/deg	I/Imax
2.740	32.68	16
2.692	33.28	27
2.506	35.84	20
2.319	38.83	100
2.284	39.46	11
1.920	47.33	14
1.554	59.47	24
1.445	64.48	18
1.352	69.53	10
1.291	73.32	15

Cell and atoms:
Lattice parameters (Å, degrees): 3.109 3.109 13.702 90.00 90.00 120.00
Fractional positions:
Nb1 0.000 0.000 0.131
Nb2 0.000 0.000 0.869
Nb3 0.667 0.333 0.322
Nb4 0.667 0.333 0.678
In1 0.000 0.000 0.500
S1 0.667 0.333 0.000
N1 0.333 0.667 0.228
N2 0.333 0.667 0.772

Starting from the PBE geometry in OQMD, the powder XRD pattern of Hf4CoNiN2 was calculated for Cu Kα (weighted mean of Kα1 and Kα2).
Kinematic intensities with the Lorentz-polarization factor, no thermal factor.

Main lines, low angle first (2θ from 10° to 90°):
d_spacing	2θ/deg	I/Imax
3.178	28.08	34
2.699	33.20	35
2.650	33.83	64
2.426	37.05	53
2.386	37.70	100
2.236	40.34	17
2.118	42.68	17
1.804	50.59	34
1.614	57.05	32
1.581	58.35	19

Cell and atoms:
Lattice parameters (Å, degrees): 5.631 3.163 6.631 90.00 106.56 90.00
Fractional positions:
Hf1 0.000 0.000 0.000
Hf2 0.019 0.500 0.541
Hf3 0.487 0.500 0.956
Hf4 0.540 0.000 0.574
Co1 0.712 0.000 0.263
Ni1 0.322 0.500 0.271
N1 0.251 0.000 0.756
N2 0.774 0.500 0.779